Record 1
Simulated powder diffractogram of CsPm6S8 for Cu Kα, from a cell relaxed with GGA-PBE.
Peak positions follow from Bragg's law for the DFT cell and can differ from measured ones.

Cell and atoms:
a = 11.0139 Å, b = 11.0139 Å, c = 4.0989 Å
α = 90.00°, β = 90.00°, γ = 120.00°
Space group P-3 (No. 147)
One atom of each set of equivalent atoms:
Cs: 0.0000 0.0000 0.0000 (multiplicity 1)
Pm: 0.1396 0.6621 0.2516 (multiplicity 6)
S: 0.0470 0.3661 0.2476 (multiplicity 6)
S: 0.3333 0.6667 0.7519 (multiplicity 2)

The 12 most intense peaks (10° ≤ 2θ ≤ 90°), sorted by position:
two_theta, I/Imax, h k l
23.63, 74, 0 1 1
24.69, 100, 2 1 0
27.12, 15, 1 1 1
28.72, 16, 0 2 1
33.09, 93, 3 -1 1
33.89, 37, 1 3 0
39.42, 72, 2 2 1
43.48, 26, 4 1 0
47.08, 16, 5 -2 1
51.28, 21, 3 -2 2
52.94, 18, 5 0 1
56.83, 15, 3 1 2

=====

Record 2
Simulated powder diffractogram of Cs3PmS3 for Cu Kα, from a cell relaxed with GGA-PBE.
Peak positions follow from Bragg's law for the DFT cell and can differ from measured ones.

Cell and atoms:
a = 9.608 Å, b = 14.861 Å, c = 8.621 Å
α = 90.00°, β = 100.84°, γ = 90.00°
Space group C2/m (No. 12)
One atom of each set of equivalent atoms:
Cs: 0.000 0.185 0.000 (multiplicity 4)
Cs: 0.000 0.250 0.500 (multiplicity 4)
Cs: 0.126 0.500 0.862 (multiplicity 4)
Pm: 0.180 0.000 0.641 (multiplicity 4)
S: 0.093 0.000 0.319 (multiplicity 4)
S: 0.189 0.355 0.228 (multiplicity 8)

The 12 most intense peaks (10° ≤ 2θ ≤ 90°), sorted by position:
two_theta, I/Imax, h k l
14.00, 49, 1 1 -1
22.16, 74, 1 1 -2
22.32, 100, 2 2 0
23.65, 80, 1 3 1
23.95, 70, 0 4 0
24.20, 75, 0 2 2
26.19, 81, 2 2 1
28.99, 80, 3 1 -1
30.61, 84, 1 3 2
41.82, 59, 3 5 -1
43.50, 50, 2 6 1
44.51, 53, 0 2 4

=====

Record 3
Simulated powder diffractogram of Cs4PmTh3S8 for Cu Kα, from a cell relaxed with GGA-PBE.
Peak positions follow from Bragg's law for the DFT cell and can differ from measured ones.

Cell and atoms:
a = 8.3519 Å, b = 8.3519 Å, c = 24.4685 Å
α = 90.00°, β = 90.00°, γ = 120.00°
Space group R-3m (No. 166, hexagonal axes)
One atom of each set of equivalent atoms:
Cs: 0.0000 0.0000 0.0000 (multiplicity 3)
Cs: 0.0000 0.5000 0.0000 (multiplicity 9)
Pm: 0.0000 0.0000 0.5000 (multiplicity 3)
Th: 0.0000 0.5000 0.5000 (multiplicity 9)
S: 0.0000 0.0000 0.2300 (multiplicity 6)
S: 0.0038 0.5019 0.7703 (multiplicity 18)

The 12 most intense peaks (10° ≤ 2θ ≤ 90°), sorted by position:
two_theta, I/Imax, h k l
10.85, 19, 0 0 3
21.79, 34, 0 0 6
25.69, 60, 2 0 2
28.68, 100, 0 2 4
38.55, 40, 2 0 8
43.34, 33, 2 2 0
44.73, 23, 0 2 10
49.01, 25, 2 2 6
52.79, 18, 4 0 4
59.38, 11, 0 4 8
63.80, 15, 2 2 12
70.61, 15, 2 4 4

=====

Record 4
Simulated powder diffractogram of CsPm3Se4 for Cu Kα, from a cell relaxed with GGA-PBE.
Peak positions follow from Bragg's law for the DFT cell and can differ from measured ones.

Cell and atoms:
a = 4.2805 Å, b = 4.2805 Å, c = 30.3645 Å
α = 90.00°, β = 90.00°, γ = 120.00°
Space group P6_3/mmc (No. 194)
One atom of each set of equivalent atoms:
Cs: 0.3333 0.6667 0.2500 (multiplicity 2)
Pm: 0.0000 0.0000 0.0000 (multiplicity 2)
Pm: 0.3333 0.6667 0.6111 (multiplicity 4)
Se: 0.0000 0.0000 0.1641 (multiplicity 4)
Se: 0.3333 0.6667 0.0556 (multiplicity 4)

The 12 most intense peaks (10° ≤ 2θ ≤ 90°), sorted by position:
two_theta, I/Imax, h k l
25.59, 28, 1 0 3
28.20, 56, 1 0 5
29.88, 100, 1 0 6
31.75, 19, 1 0 7
40.75, 37, 1 0 11
42.23, 65, 1 1 0
43.29, 19, 1 0 12
52.58, 20, 2 0 6
60.13, 12, 2 0 11
69.63, 17, 2 1 6
71.16, 14, 1 1 18
76.20, 12, 2 1 11

=====

Record 5
Simulated powder diffractogram of Cs3PmTh2Se6 for Cu Kα, from a cell relaxed with GGA-PBE.
Peak positions follow from Bragg's law for the DFT cell and can differ from measured ones.

Cell and atoms:
a = 7.488 Å, b = 12.969 Å, c = 8.845 Å
α = 90.00°, β = 106.38°, γ = 90.00°
Space group C2/m (No. 12)
One atom of each set of equivalent atoms:
Cs: 0.000 0.000 0.000 (multiplicity 2)
Cs: 0.000 0.334 0.000 (multiplicity 4)
Pm: 0.000 0.500 0.500 (multiplicity 2)
Th: 0.000 0.167 0.500 (multiplicity 4)
Se: 0.227 0.000 0.693 (multiplicity 4)
Se: 0.233 0.331 0.694 (multiplicity 8)

The 12 most intense peaks (10° ≤ 2θ ≤ 90°), sorted by position:
two_theta, I/Imax, h k l
10.42, 20, 0 0 1
20.94, 12, 0 0 2
24.79, 17, 2 0 0
27.64, 100, 1 3 1
37.08, 37, 2 0 2
41.79, 35, 0 6 0
42.96, 10, 1 3 3
50.84, 19, 4 0 0
57.09, 11, 2 6 2
61.22, 12, 3 3 3
67.85, 16, 4 6 0
73.20, 10, 5 3 1

=====

Record 6
Simulated powder diffractogram of Cs3Pm2YSe6 for Cu Kα, from a cell relaxed with GGA-PBE.
Peak positions follow from Bragg's law for the DFT cell and can differ from measured ones.

Cell and atoms:
a = 7.515 Å, b = 13.016 Å, c = 8.762 Å
α = 90.00°, β = 106.62°, γ = 90.00°
Space group C2/m (No. 12)
One atom of each set of equivalent atoms:
Cs: 0.000 0.000 0.000 (multiplicity 2)
Cs: 0.000 0.332 0.000 (multiplicity 4)
Pm: 0.000 0.167 0.500 (multiplicity 4)
Y: 0.000 0.500 0.500 (multiplicity 2)
Se: 0.227 0.336 0.688 (multiplicity 8)
Se: 0.235 0.000 0.689 (multiplicity 4)

The 12 most intense peaks (10° ≤ 2θ ≤ 90°), sorted by position:
two_theta, I/Imax, h k l
21.17, 8, 0 0 2
24.73, 9, 2 0 0
27.65, 100, 1 3 1
37.26, 33, 2 0 2
41.63, 36, 0 6 0
43.24, 9, 1 3 3
50.71, 18, 4 0 0
57.09, 9, 2 6 2
61.47, 9, 3 3 3
67.62, 15, 4 6 0
73.10, 9, 5 3 1
81.93, 8, 3 3 5